Entry 1:
Diffraction record for ZnFe2Pt3. The PXRD pattern is simulated, not measured: it uses a DFT-relaxed cell (GGA-PBE, Alexandria) and a wavelength of 1.5418 Å.

Peak list (12 most intense, 10 to 90 degrees two-theta, in order of rising 2θ)
Position (°2θ)	intensity
24.2	239
32.2	236
40.6	1000
46.1	348
49.5	141
52.8	126
60.3	86
67.3	111
70.0	198
81.7	261
86.7	114
88.0	111

Cell and atoms:
```
6
Lattice="2.782 0.000 0.000 0.000 2.782 0.000 0.000 0.000 11.045" Properties=species:S:1:pos:R:3 pbc="T T T"
Zn 0.000 0.000 0.000
Fe 0.000 0.000 3.683
Fe 0.000 0.000 7.362
Pt 1.391 1.391 1.861
Pt 1.391 1.391 5.522
Pt 1.391 1.391 9.183
```



Entry 2:
Diffraction record for BeZnS. The PXRD pattern is simulated, not measured: it uses a DFT-relaxed cell (GGA-PBE, Alexandria) and a wavelength of 1.5418 Å.

Peak list (12 most intense, 10 to 90 degrees two-theta, in order of rising 2θ)
Position (°2θ)	intensity
16.4	227
30.7	1000
31.0	500
32.0	193
32.5	393
33.1	462
41.7	251
49.6	308
50.9	143
53.9	364
55.4	149
64.7	144

Cell and atoms:
```
6
Lattice="5.894 0.000 0.000 0.000 3.405 0.000 -1.797 0.000 5.411" Properties=species:S:1:pos:R:3 pbc="T T T"
Be 0.000 0.000 0.000
Be 2.947 1.703 0.000
Zn 0.077 0.000 2.331
Zn 3.024 1.703 2.331
S 0.168 0.000 4.765
S 3.116 1.703 4.765
```



Entry 3:
Diffraction record for NaNp2GeO8. The PXRD pattern is simulated, not measured: it uses a DFT-relaxed cell (GGA-PBE, Alexandria) and a wavelength of 1.5418 Å.

Peak list (12 most intense, 10 to 90 degrees two-theta, in order of rising 2θ)
Position (°2θ)	intensity
18.5	918
25.9	548
26.1	193
26.8	498
32.2	1000
37.1	280
37.6	266
46.3	188
49.8	396
50.8	361
60.6	182
64.5	214

Cell and atoms:
```
12
Lattice="3.331 -3.444 0.000 3.331 3.444 0.000 0.000 0.000 6.818" Properties=species:S:1:pos:R:3 pbc="T T T"
Na 0.000 0.000 0.000
Np 3.331 0.000 1.732
Np 3.331 0.000 5.086
Ge 0.000 0.000 3.409
O 1.308 0.000 1.992
O 1.308 0.000 4.826
O 3.331 1.443 3.409
O 3.331 1.221 0.000
O 3.331 -1.221 0.000
O 3.331 -1.443 3.409
O 5.354 0.000 1.992
O 5.354 0.000 4.826
```



Entry 4:
Diffraction record for ZrVPd14. The PXRD pattern is simulated, not measured: it uses a DFT-relaxed cell (GGA-PBE, Alexandria) and a wavelength of 1.5418 Å.

Peak list (10 most intense, 10 to 90 degrees two-theta, in order of rising 2θ)
Position (°2θ)	intensity
25.1	6
33.9	6
39.4	1000
45.7	327
46.2	156
66.6	103
67.0	200
80.2	240
81.0	115
84.9	104

Cell and atoms:
```
16
Lattice="5.619 0.000 0.000 0.000 5.619 0.000 0.000 0.000 7.854" Properties=species:S:1:pos:R:3 pbc="T T T"
Zr 0.000 0.000 0.000
V 2.810 2.810 0.000
Pd 0.000 0.000 3.927
Pd 0.000 2.810 0.000
Pd 0.000 2.810 3.927
Pd 1.426 1.426 1.922
Pd 1.426 1.426 5.932
Pd 1.426 4.193 1.922
Pd 1.426 4.193 5.932
Pd 2.810 0.000 0.000
Pd 2.810 0.000 3.927
Pd 2.810 2.810 3.927
Pd 4.193 1.426 1.922
Pd 4.193 1.426 5.932
Pd 4.193 4.193 1.922
Pd 4.193 4.193 5.932
```



Entry 5:
Diffraction record for DyEr2InN4. The PXRD pattern is simulated, not measured: it uses a DFT-relaxed cell (GGA-PBE, Alexandria) and a wavelength of 1.5418 Å.

Peak list (12 most intense, 10 to 90 degrees two-theta, in order of rising 2θ)
Position (°2θ)	intensity
31.9	1000
32.2	980
36.9	485
37.3	945
53.5	489
53.6	324
54.1	157
63.5	221
63.8	290
64.2	284
66.7	164
87.7	127

Cell and atoms:
```
8
Lattice="5.924 0.000 0.000 0.000 3.429 0.000 -2.059 0.000 5.568" Properties=species:S:1:pos:R:3 pbc="T T T"
Dy 0.000 0.000 0.000
Er -1.030 1.714 2.784
Er 1.932 0.000 2.784
In 2.962 1.714 0.000
N 0.920 1.714 1.440
N -0.061 0.000 4.162
N 3.925 0.000 1.406
N 2.944 1.714 4.129
```



Entry 6:
Diffraction record for La2Nd4Y7. The PXRD pattern is simulated, not measured: it uses a DFT-relaxed cell (GGA-PBE, Alexandria) and a wavelength of 1.5418 Å.

Peak list (12 most intense, 10 to 90 degrees two-theta, in order of rising 2θ)
Position (°2θ)	intensity
30.1	1000
30.2	993
34.9	672
35.1	331
50.1	119
50.2	354
50.4	234
59.6	350
59.7	209
59.8	138
62.6	120
81.6	113

Cell and atoms:
```
13
Lattice="6.266 0.000 0.000 1.060 8.069 0.000 0.032 4.095 8.714" Properties=species:S:1:pos:R:3 pbc="T T T"
La 0.531 2.814 1.329
La 6.827 9.351 7.385
Nd 1.603 5.937 6.690
Nd 3.690 10.607 6.029
Nd 3.668 1.558 2.684
Nd 5.754 6.228 2.024
Y 1.597 8.398 4.019
Y 2.626 7.446 0.681
Y 2.637 5.005 3.359
Y 3.663 4.035 0.000
Y 4.720 7.160 5.355
Y 4.732 4.719 8.033
Y 5.761 3.766 4.695
```